Calculated PXRD pattern of Fe2CuO4 for a wavelength of 1.5418 Å, from a cell relaxed with PBE+U.
No peak broadening, texture or thermal motion is included.

Top 10 peaks for 2θ from 10° to 90°, by angle:
Position (°2θ)  Rel. int.
29.58  17.6
29.78  34.2
34.88  100.0
35.23  50.8
42.33  15.3
52.61  12.3
55.97  31.1
56.70  14.4
61.40  22.1
61.86  43.4

abc: 5.9999 5.9999 5.9999
angles: 119.56 119.56 90.77
Element x y z (fractional)
Fe (0.0000, 0.0000, 0.0000)
Fe (0.0000, 0.0000, 0.5000)
Fe (0.0000, 0.5000, 0.0000)
Fe (0.5000, 0.0000, 0.5000)
Cu (0.3750, 0.6250, 0.7500)
Cu (0.6250, 0.3750, 0.2500)
O (0.2195, 0.2417, 0.9778)
O (0.2361, 0.7583, 0.4778)
O (0.2417, 0.2195, 0.4778)
O (0.2417, 0.7639, 0.0222)
O (0.7583, 0.2361, 0.9778)
O (0.7583, 0.7805, 0.5222)
O (0.7639, 0.2417, 0.5222)
O (0.7805, 0.7583, 0.0222)

***

Calculated PXRD pattern of Li6Cr3CuP6O24 for a wavelength of 1.5418 Å, from a cell relaxed with PBE+U.
No peak broadening, texture or thermal motion is included.

Top 10 peaks for 2θ from 10° to 90°, by angle:
Position (°2θ)  Rel. int.
14.51  29.9
20.34  44.3
20.83  84.2
24.11  100.0
24.20  49.9
29.32  31.1
31.61  30.1
33.08  29.9
33.21  26.7
35.62  36.9

abc: 8.5091 8.5390 8.5497
angles: 61.44 61.58 61.60
Element x y z (fractional)
Li (0.0000, 0.0000, 0.0000)
Li (0.0906, 0.9340, 0.5004)
Li (0.1821, 0.4574, 0.3609)
Li (0.3549, 0.7886, 0.1400)
Li (0.5495, 0.6395, 0.8126)
Li (0.8097, 0.2986, 0.6505)
Cr (0.4740, 0.9332, 0.2890)
Cr (0.6943, 0.1512, 0.5069)
Cr (0.9766, 0.4350, 0.7962)
Cu (0.1879, 0.6403, 0.9996)
P (0.0847, 0.2459, 0.1976)
P (0.2906, 0.0422, 0.6854)
P (0.3838, 0.5397, 0.6033)
P (0.5880, 0.3274, 0.1102)
P (0.7850, 0.8403, 0.9021)
P (0.8750, 0.7534, 0.4046)
O (0.0263, 0.2866, 0.0359)
O (0.0598, 0.7482, 0.2298)
O (0.0927, 0.1923, 0.7334)
O (0.1380, 0.4047, 0.1787)
O (0.2183, 0.4821, 0.6478)
O (0.2427, 0.0505, 0.2149)
O (0.2956, 0.8688, 0.8720)
O (0.2993, 0.9959, 0.5280)
O (0.3696, 0.5866, 0.7650)
O (0.3756, 0.7142, 0.4213)
O (0.4172, 0.5159, 0.1118)
O (0.4531, 0.1060, 0.6320)
O (0.5346, 0.1674, 0.1387)
O (0.5781, 0.3873, 0.5677)
O (0.5960, 0.8517, 0.0645)
O (0.6646, 0.2837, 0.2596)
O (0.7005, 0.7939, 0.3662)
O (0.7352, 0.3695, 0.9079)
O (0.7706, 0.0302, 0.7371)
O (0.8251, 0.6764, 0.8451)
O (0.8575, 0.9020, 0.4700)
O (0.9117, 0.5520, 0.5539)
O (0.9323, 0.2122, 0.3964)
O (0.9483, 0.8192, 0.9525)

***

Calculated PXRD pattern of LiCoBO3 for a wavelength of 1.5418 Å, from a cell relaxed with PBE+U.
No peak broadening, texture or thermal motion is included.

Top 10 peaks for 2θ from 10° to 90°, by angle:
Position (°2θ)  Rel. int.
15.42  42.2
21.29  97.0
22.72  41.4
22.90  63.7
28.99  79.8
29.65  31.3
31.14  100.0
34.80  52.2
35.64  44.2
41.77  32.4

abc: 5.0399 5.0445 6.3608
angles: 67.68 69.07 61.53
Element x y z (fractional)
Li (0.1426, 0.2571, 0.1561)
Li (0.8574, 0.7429, 0.8439)
Co (0.2455, 0.1451, 0.6752)
Co (0.7545, 0.8549, 0.3248)
B (0.4320, 0.5705, 0.2470)
B (0.5680, 0.4295, 0.7530)
O (0.1707, 0.8400, 0.2320)
O (0.2801, 0.4201, 0.8093)
O (0.4068, 0.2802, 0.3198)
O (0.5932, 0.7198, 0.6802)
O (0.7199, 0.5799, 0.1907)
O (0.8293, 0.1600, 0.7680)

***

Calculated PXRD pattern of Mg2Ta2CrO8 for a wavelength of 1.5418 Å, from a cell relaxed with PBE+U.
No peak broadening, texture or thermal motion is included.

Top 10 peaks for 2θ from 10° to 90°, by angle:
Position (°2θ)  Rel. int.
15.33  53.7
18.28  100.0
23.06  67.7
26.08  40.2
26.26  38.7
26.67  47.9
32.62  38.1
34.24  85.2
34.38  49.4
50.69  45.7

abc: 5.2193 6.0565 10.1510
angles: 106.94 91.48 90.20
Element x y z (fractional)
Mg (0.0000, 0.0000, 0.0000)
Mg (0.0125, 0.5472, 0.0923)
Mg (0.4996, 0.2874, 0.0006)
Mg (0.5121, 0.8345, 0.0931)
Ta (0.0198, 0.1368, 0.3097)
Ta (0.4924, 0.6967, 0.7837)
Ta (0.5206, 0.4589, 0.3097)
Ta (0.9916, 0.3766, 0.7836)
Cr (0.0034, 0.7662, 0.5473)
Cr (0.5035, 0.0687, 0.5470)
O (0.1297, 0.2563, 0.9310)
O (0.1712, 0.9895, 0.4284)
O (0.1919, 0.4482, 0.3966)
O (0.2052, 0.7079, 0.9211)
O (0.3062, 0.1253, 0.1717)
O (0.3212, 0.3831, 0.6961)
O (0.3348, 0.8413, 0.6660)
O (0.3818, 0.5780, 0.1618)
O (0.6299, 0.9635, 0.9310)
O (0.6738, 0.7216, 0.4274)
O (0.6907, 0.2311, 0.3971)
O (0.7052, 0.5020, 0.9207)
O (0.8064, 0.3336, 0.1722)
O (0.8223, 0.6056, 0.6954)
O (0.8319, 0.1177, 0.6669)
O (0.8817, 0.8710, 0.1620)

***

Calculated PXRD pattern of LiCoPCO7 for a wavelength of 1.5418 Å, from a cell relaxed with PBE+U.
No peak broadening, texture or thermal motion is included.

Top 10 peaks for 2θ from 10° to 90°, by angle:
Position (°2θ)  Rel. int.
10.31  100.0
17.90  59.2
19.83  40.8
21.16  45.7
22.99  21.6
25.80  19.4
26.33  35.3
29.42  56.8
35.77  18.8
40.27  17.4

abc: 5.0319 6.0711 8.5997
angles: 90.00 94.20 90.00
Element x y z (fractional)
Li (0.2198, 0.0000, 0.2796)
Li (0.7802, 0.5000, 0.7204)
Co (0.2092, 0.2597, 0.8343)
Co (0.7908, 0.7597, 0.1657)
P (0.2782, 0.7648, 0.9297)
P (0.7218, 0.2648, 0.0703)
C (0.2746, 0.2589, 0.5663)
C (0.7254, 0.7589, 0.4337)
O (0.0402, 0.2632, 0.6256)
O (0.1375, 0.7753, 0.0824)
O (0.1804, 0.5704, 0.8216)
O (0.2080, 0.9593, 0.8154)
O (0.3166, 0.2349, 0.4282)
O (0.4164, 0.2496, 0.0317)
O (0.4640, 0.2769, 0.6824)
O (0.5360, 0.7769, 0.3176)
O (0.5836, 0.7496, 0.9683)
O (0.6834, 0.7349, 0.5718)
O (0.7920, 0.4593, 0.1846)
O (0.8196, 0.0704, 0.1784)
O (0.8625, 0.2753, 0.9176)
O (0.9598, 0.7632, 0.3744)

***

Calculated PXRD pattern of Mg2Cr2O5 for a wavelength of 1.5418 Å, from a cell relaxed with PBE+U.
No peak broadening, texture or thermal motion is included.

Top 10 peaks for 2θ from 10° to 90°, by angle:
Position (°2θ)  Rel. int.
23.60  33.6
24.40  53.8
33.94  51.7
34.20  100.0
35.59  60.2
48.28  43.7
50.00  40.9
57.79  21.3
63.03  28.1
72.04  23.3

abc: 5.0449 10.5645 3.7704
angles: 90.00 90.00 90.00
Element x y z (fractional)
Mg (0.2428, 0.0960, 0.0000)
Mg (0.2572, 0.5960, 0.0000)
Mg (0.7428, 0.4040, 0.0000)
Mg (0.7572, 0.9040, 0.0000)
Cr (0.2360, 0.8616, 0.5000)
Cr (0.2640, 0.3616, 0.5000)
Cr (0.7360, 0.6384, 0.5000)
Cr (0.7640, 0.1384, 0.5000)
O (0.0000, 0.5000, 0.5000)
O (0.1465, 0.1877, 0.5000)
O (0.1888, 0.9003, 0.0000)
O (0.3112, 0.4003, 0.0000)
O (0.3535, 0.6877, 0.5000)
O (0.5000, 0.0000, 0.5000)
O (0.6465, 0.3123, 0.5000)
O (0.6888, 0.5997, 0.0000)
O (0.8112, 0.0997, 0.0000)
O (0.8535, 0.8123, 0.5000)

***

Calculated PXRD pattern of FeP5O15 for a wavelength of 1.5418 Å, from a cell relaxed with PBE+U.
No peak broadening, texture or thermal motion is included.

Top 10 peaks for 2θ from 10° to 90°, by angle:
Position (°2θ)  Rel. int.
10.19  92.2
12.03  100.0
16.37  66.6
19.05  96.8
20.46  86.2
21.61  41.5
21.80  61.3
24.85  97.7
26.04  60.5
31.19  49.6

abc: 5.1476 13.8562 8.7443
angles: 90.00 96.98 90.00
Element x y z (fractional)
Fe (0.0000, 0.0000, 0.0000)
Fe (0.0000, 0.5000, 0.0000)
P (0.0513, 0.2500, 0.4943)
P (0.1585, 0.5774, 0.6795)
P (0.1585, 0.9226, 0.6795)
P (0.4809, 0.6421, 0.9651)
P (0.4809, 0.8579, 0.9651)
P (0.5191, 0.1421, 0.0349)
P (0.5191, 0.3579, 0.0349)
P (0.8415, 0.0774, 0.3205)
P (0.8415, 0.4226, 0.3205)
P (0.9487, 0.7500, 0.5057)
O (0.0199, 0.5151, 0.7926)
O (0.0199, 0.9849, 0.7926)
O (0.0430, 0.1625, 0.3698)
O (0.0430, 0.3375, 0.3698)
O (0.1777, 0.7500, 0.4135)
O (0.2305, 0.1270, 0.0002)
O (0.2305, 0.3730, 0.0002)
O (0.2601, 0.5243, 0.5535)
O (0.2601, 0.9757, 0.5535)
O (0.3068, 0.5769, 0.0502)
O (0.3068, 0.9231, 0.0502)
O (0.3091, 0.2500, 0.5958)
O (0.3937, 0.6348, 0.7837)
O (0.3937, 0.8652, 0.7837)
O (0.4034, 0.7500, 0.0063)
O (0.5966, 0.2500, 0.9937)
O (0.6063, 0.1348, 0.2163)
O (0.6063, 0.3652, 0.2163)
O (0.6909, 0.7500, 0.4042)
O (0.6932, 0.0769, 0.9498)
O (0.6932, 0.4231, 0.9498)
O (0.7399, 0.0243, 0.4465)
O (0.7399, 0.4757, 0.4465)
O (0.7695, 0.6270, 0.9998)
O (0.7695, 0.8730, 0.9998)
O (0.8223, 0.2500, 0.5865)
O (0.9570, 0.6625, 0.6302)
O (0.9570, 0.8375, 0.6302)
O (0.9801, 0.0151, 0.2074)
O (0.9801, 0.4849, 0.2074)